Structure and simulated X-ray diffraction stick pattern of V3AgO8 (a structure optimized by DFT (PBE+U); Cu Kα (weighted mean of Kα1 and Kα2)).

Principal peaks in the range 2θ = 5–70°, in order of falling intensity:
2θ (°)  intensity  index
29.2  100  1 0 -4
25.3  99  2 0 0
25.6  96  0 1 1
29.6  78  1 1 -2
38.4  77  1 1 3
16.5  74  1 0 1
12.6  56  1 0 0
50.1  53  0 2 0
34.6  48  2 1 -1
28.8  46  0 1 2
52.6  45  3 1 -5
28.5  41  2 0 1

Structural model:
Cell lengths 7.377, 3.644, 12.315 Å; angles 90.00, 107.10, 90.00 degrees
Sites, in units of the cell vectors:
V (0.114, 0.250, 0.423)
V (0.255, 0.250, 0.692)
V (0.319, 0.250, 0.958)
V (0.681, 0.750, 0.042)
V (0.745, 0.750, 0.308)
V (0.886, 0.750, 0.577)
Ag (0.194, 0.750, 0.187)
Ag (0.806, 0.250, 0.813)
O (0.044, 0.750, 0.428)
O (0.144, 0.250, 0.825)
O (0.174, 0.750, 0.673)
O (0.201, 0.250, 0.054)
O (0.216, 0.250, 0.319)
O (0.305, 0.250, 0.551)
O (0.398, 0.750, 0.960)
O (0.473, 0.250, 0.777)
O (0.527, 0.750, 0.223)
O (0.602, 0.250, 0.040)
O (0.695, 0.750, 0.449)
O (0.784, 0.750, 0.681)
O (0.799, 0.750, 0.946)
O (0.826, 0.250, 0.327)
O (0.856, 0.750, 0.175)
O (0.956, 0.250, 0.572)